The following is a calculated powder diffraction line list of BaLa2CoPb. It was derived from a crystal structure in Alexandria, relaxed with GGA-PBE, using Cu Kα X-rays.

Crystal structure
```
data_BaLa2CoPb
_chemical_formula_sum 'Ba1 La2 Co1 Pb1'
_space_group_name_H-M_alt 'P 1'
_space_group_IT_number 1
_space_group_name_Hall 'P 1'
_cell_length_a 5.356
_cell_length_b 5.356
_cell_length_c 5.660
_cell_angle_alpha 90.00
_cell_angle_beta 90.00
_cell_angle_gamma 90.00
loop_
_atom_site_label
_atom_site_fract_x
_atom_site_fract_y
_atom_site_fract_z
_atom_site_occupancy
Ba1 0.000 0.000 0.000 1
La1 0.000 0.500 0.500 1
La2 0.500 0.000 0.500 1
Co1 0.000 0.000 0.500 1
Pb1 0.500 0.500 0.000 1
```

Peak list (10 most intense, 10° ≤ 2θ ≤ 90°, low angle first)
| index | d_spacing | intensity |
| --- | --- | --- |
| 1 1 1 | 3.147 | 100 |
| 0 0 2 | 2.830 | 29 |
| 2 0 0 | 2.678 | 49 |
| 2 0 2 | 1.945 | 39 |
| 2 2 0 | 1.893 | 18 |
| 1 1 3 | 1.689 | 17 |
| 3 1 1 | 1.622 | 29 |
| 2 2 2 | 1.574 | 20 |
| 3 1 3 | 1.260 | 13 |
| 4 2 2 | 1.103 | 13 |